1.
# MnAgO2
Simulated XRD peak list, Cu Kα X-rays. Input: a crystal structure in the Materials Project, relaxed with GGA+U.
Kinematic intensities with the Lorentz-polarization factor, no thermal factor.

Principal peaks in the range 2θ from 10° to 90°, in order of rising 2θ:
2theta  intensity
14.20  11.2
28.63  43.2
33.49  24.2
34.53  100.0
38.46  46.1
51.68  36.7
59.20  29.4
60.15  21.3
67.05  21.1
70.36  11.0

abc: 3.1222 3.1222 18.7068
angles: 90.00 90.00 120.00
Space group R-3m (No. 166, hexagonal axes)
Symmetry-distinct sites (fractional):
Mn 0.0000 0.0000 0.0000 [3 per cell]
Ag 0.0000 0.0000 0.5000 [3 per cell]
O 0.0000 0.0000 0.3870 [6 per cell]



2.
# MnAgO4
Simulated XRD peak list, Cu Kα X-rays. Input: a crystal structure in the Materials Project, relaxed with GGA+U.
Kinematic intensities with the Lorentz-polarization factor, no thermal factor.

Principal peaks in the range 2θ from 10° to 90°, in order of rising 2θ:
2theta  intensity
18.84  37.1
20.68  100.0
21.35  44.0
23.37  66.9
23.96  61.5
26.99  94.1
29.60  73.4
31.54  71.5
34.66  46.1
38.07  46.2

abc: 6.1037 9.4205 8.3570
angles: 90.00 127.74 90.00
Space group P2_1/c (No. 14)
Symmetry-distinct sites (fractional):
Mn 0.2401 0.0179 0.4448 [4 per cell]
Ag 0.3408 0.1369 0.0139 [4 per cell]
O 0.0931 0.5543 0.3174 [4 per cell]
O 0.1608 0.0514 0.2014 [4 per cell]
O 0.2621 0.6394 0.0301 [4 per cell]
O 0.3488 0.1476 0.6116 [4 per cell]



3.
# MnAgO2
Simulated XRD peak list, Cu Kα X-rays. Input: a crystal structure in the Materials Project, relaxed with GGA+U.
Kinematic intensities with the Lorentz-polarization factor, no thermal factor.

Principal peaks in the range 2θ from 10° to 90°, in order of rising 2θ:
2theta  intensity
14.09  27.2
28.41  100.0
32.22  99.2
35.77  67.8
36.01  66.7
38.37  35.2
38.66  71.2
48.16  34.1
53.06  26.0
53.41  25.4

abc: 3.2130 5.2567 12.6613
angles: 96.07 92.90 95.03
Space group P-1 (No. 2)
Symmetry-distinct sites (fractional):
Mn 0.1262 0.3740 0.2499 [2 per cell]
Mn 0.3744 0.1259 0.7499 [2 per cell]
Ag 0.0000 0.0000 0.0000 [1 per cell]
Ag 0.2483 0.7503 0.5000 [2 per cell]
Ag 0.5000 0.5000 0.0000 [1 per cell]
O 0.0656 0.0330 0.1679 [2 per cell]
O 0.1853 0.7153 0.3320 [2 per cell]
O 0.3138 0.7847 0.6680 [2 per cell]
O 0.4344 0.4668 0.8320 [2 per cell]



4.
# MnAgO4
Simulated XRD peak list, Cu Kα X-rays. Input: a crystal structure in the Materials Project, relaxed with GGA+U.
Kinematic intensities with the Lorentz-polarization factor, no thermal factor.

Principal peaks in the range 2θ from 10° to 90°, in order of rising 2θ:
2theta  intensity
21.89  17.0
24.92  16.4
26.04  23.3
27.20  13.9
28.94  100.0
30.89  24.3
40.15  12.4
42.11  18.3
45.91  17.4
59.50  12.4

abc: 8.2288 6.1661 7.1481
angles: 90.00 90.00 90.00
Space group Pnma (No. 62)
Symmetry-distinct sites (fractional):
Mn 0.0262 0.2500 0.1563 [4 per cell]
Ag 0.1998 0.2500 0.6723 [4 per cell]
O 0.0586 0.0332 0.2802 [8 per cell]
O 0.1444 0.2500 0.9729 [4 per cell]
O 0.1630 0.7500 0.9136 [4 per cell]



5.
# MnAgPO4
Simulated XRD peak list, Cu Kα X-rays. Input: a crystal structure in the Materials Project, relaxed with GGA+U.
Kinematic intensities with the Lorentz-polarization factor, no thermal factor.

Principal peaks in the range 2θ from 10° to 90°, in order of rising 2θ:
2theta  intensity
28.47  25.5
30.00  76.5
30.47  32.0
30.72  45.2
31.40  100.0
33.81  41.1
34.41  40.7
35.68  22.2
37.73  22.9
55.32  25.5

abc: 5.8714 6.6984 9.8296
angles: 74.79 79.75 77.83
Space group P-1 (No. 2)
Symmetry-distinct sites (fractional):
Mn 0.1580 0.0669 0.2113 [2 per cell]
Mn 0.2779 0.1698 0.5706 [2 per cell]
Ag 0.1950 0.3788 0.8754 [2 per cell]
Ag 0.3282 0.5236 0.2406 [2 per cell]
P 0.1874 0.7117 0.5339 [2 per cell]
P 0.3122 0.8525 0.9099 [2 per cell]
O 0.0632 0.2146 0.3899 [2 per cell]
O 0.1298 0.7211 0.8941 [2 per cell]
O 0.1515 0.7643 0.3720 [2 per cell]
O 0.2653 0.0701 0.8015 [2 per cell]
O 0.2690 0.4765 0.5919 [2 per cell]
O 0.2789 0.8781 0.0634 [2 per cell]
O 0.3672 0.8411 0.5518 [2 per cell]
O 0.4299 0.2581 0.1286 [2 per cell]



6.
# Mn3Ag2P4O14
Simulated XRD peak list, Cu Kα X-rays. Input: a crystal structure in the Materials Project, relaxed with GGA+U.
Kinematic intensities with the Lorentz-polarization factor, no thermal factor.

Principal peaks in the range 2θ from 10° to 90°, in order of rising 2θ:
2theta  intensity
28.24  24.8
28.71  28.3
29.03  73.3
29.45  29.4
29.99  27.1
30.79  100.0
32.76  24.5
33.42  45.7
34.48  22.4
36.11  21.7

abc: 5.4616 6.6743 16.6938
angles: 80.78 81.92 72.63
Space group P-1 (No. 2)
Symmetry-distinct sites (fractional):
Mn 0.0276 0.1238 0.3038 [2 per cell]
Mn 0.1720 0.7883 0.0772 [2 per cell]
Mn 0.2517 0.4685 0.8385 [2 per cell]
Ag 0.1067 0.7574 0.4786 [2 per cell]
Ag 0.4078 0.2286 0.6285 [2 per cell]
P 0.1752 0.5917 0.2800 [2 per cell]
P 0.2840 0.2814 0.0398 [2 per cell]
P 0.3702 0.9404 0.8226 [2 per cell]
P 0.4241 0.2595 0.4145 [2 per cell]
O 0.0161 0.5330 0.7265 [2 per cell]
O 0.0410 0.7861 0.3256 [2 per cell]
O 0.1119 0.4754 0.0792 [2 per cell]
O 0.1430 0.1154 0.0389 [2 per cell]
O 0.1860 0.1539 0.8436 [2 per cell]
O 0.2212 0.8012 0.7967 [2 per cell]
O 0.2705 0.1096 0.4013 [2 per cell]
O 0.2834 0.8430 0.5901 [2 per cell]
O 0.3089 0.3705 0.4907 [2 per cell]
O 0.3327 0.6387 0.1996 [2 per cell]
O 0.3975 0.4447 0.3364 [2 per cell]
O 0.4034 0.0324 0.2371 [2 per cell]
O 0.4187 0.3410 0.9558 [2 per cell]
O 0.4682 0.8167 0.9087 [2 per cell]



7.
# MnAg4P6O24
Simulated XRD peak list, Cu Kα X-rays. Input: a crystal structure in the Materials Project, relaxed with GGA+U.
Kinematic intensities with the Lorentz-polarization factor, no thermal factor.

Principal peaks in the range 2θ from 10° to 90°, in order of rising 2θ:
2theta  intensity
10.99  100.0
14.93  51.2
21.39  60.0
25.69  30.3
26.20  97.5
26.89  32.9
29.16  73.1
29.74  71.4
31.26  30.6
34.99  33.7

abc: 6.6358 8.2435 9.3715
angles: 101.93 103.24 90.90
Space group P-1 (No. 2)
Symmetry-distinct sites (fractional):
Mn 0.0000 0.0000 0.0000 [1 per cell]
Ag 0.1992 0.4522 0.1652 [2 per cell]
Ag 0.3806 0.7150 0.5855 [2 per cell]
P 0.1453 0.2779 0.4814 [2 per cell]
P 0.2733 0.4554 0.7939 [2 per cell]
P 0.4688 0.1604 0.6907 [2 per cell]
O 0.0092 0.9013 0.1652 [2 per cell]
O 0.0657 0.7792 0.6167 [2 per cell]
O 0.1093 0.4001 0.6323 [2 per cell]
O 0.1480 0.5056 0.9087 [2 per cell]
O 0.1835 0.1915 0.0650 [2 per cell]
O 0.2194 0.8608 0.0169 [2 per cell]
O 0.2639 0.1318 0.5473 [2 per cell]
O 0.2926 0.3665 0.4131 [2 per cell]
O 0.3628 0.7382 0.3468 [2 per cell]
O 0.3812 0.2869 0.8185 [2 per cell]
O 0.4352 0.5804 0.7797 [2 per cell]
O 0.4960 0.0025 0.2683 [2 per cell]



8.
# Mn3AgP3O12
Simulated XRD peak list, Cu Kα X-rays. Input: a crystal structure in the Materials Project, relaxed with GGA+U.
Kinematic intensities with the Lorentz-polarization factor, no thermal factor.

Principal peaks in the range 2θ from 10° to 90°, in order of rising 2θ:
2theta  intensity
10.87  100.0
22.95  37.6
29.28  35.5
29.63  32.1
33.01  36.2
33.21  81.9
33.34  23.0
34.37  44.5
34.75  21.3
42.67  21.1

abc: 12.0199 12.4632 6.8166
angles: 90.00 116.58 90.00
Space group C2/c (No. 15)
Symmetry-distinct sites (fractional):
Mn 0.0000 0.2175 0.2500 [4 per cell]
Mn 0.2189 0.3407 0.1280 [8 per cell]
Ag 0.0000 0.4855 0.7500 [4 per cell]
P 0.0000 0.1956 0.7500 [4 per cell]
P 0.2282 0.3838 0.6138 [8 per cell]
O 0.0433 0.2687 0.9607 [8 per cell]
O 0.1048 0.1220 0.7577 [8 per cell]
O 0.1368 0.1074 0.3479 [8 per cell]
O 0.1473 0.3307 0.3832 [8 per cell]
O 0.1685 0.4969 0.6055 [8 per cell]
O 0.2168 0.3180 0.7989 [8 per cell]



9.
# MnVAgO4
Simulated XRD peak list, Cu Kα X-rays. Input: a crystal structure in the Materials Project, relaxed with GGA+U.
Kinematic intensities with the Lorentz-polarization factor, no thermal factor.

Principal peaks in the range 2θ from 10° to 90°, in order of rising 2θ:
2theta  intensity
25.75  15.9
31.70  23.8
32.01  100.0
32.86  24.3
40.06  15.0
45.48  13.3
46.30  14.4
57.23  13.4
58.12  20.6
63.21  15.8

abc: 9.7635 6.9203 5.4519
angles: 90.00 90.00 90.00
Space group Pnma (No. 62)
Symmetry-distinct sites (fractional):
Mn 0.0000 0.0000 0.0000 [4 per cell]
V 0.1780 0.2500 0.4786 [4 per cell]
Ag 0.1513 0.7500 0.5006 [4 per cell]
O 0.1150 0.0509 0.3226 [8 per cell]
O 0.1179 0.2500 0.7858 [4 per cell]
O 0.1385 0.7500 0.9395 [4 per cell]